# 1
# Ce3GaO
Calculated X-ray diffraction stick pattern, Cu Kα (λ = 1.5418 Å). Input: DFT lattice parameters and positions (GGA-PBE).
Kinematic intensities with the Lorentz-polarization factor, no thermal factor.

a = 4.7580 Å, b = 4.7892 Å, c = 19.4785 Å
α = 90.00°, β = 90.00°, γ = 90.00°
Space group Imma (No. 74)
Symmetry-distinct sites (fractional):
Ce1 0.0000 0.2500 0.0502 x4
Ce2 0.0000 0.2500 0.3125 x4
Ce3 0.0000 0.2500 0.8242 x4
Ga1 0.0000 0.2500 0.5664 x4
O1 0.0000 0.2500 0.1812 x4

The 10 most intense peaks (2θ from 10° to 90°), most intense first:
- (1 1 4), d = 2.774 Å, 32.27 deg, I = 100
- (0 2 0), d = 2.395 Å, 37.56 deg, I = 20
- (2 0 0), d = 2.379 Å, 37.82 deg, I = 20
- (0 0 8), d = 2.435 Å, 36.92 deg, I = 17
- (2 2 0), d = 1.688 Å, 54.36 deg, I = 16
- (1 3 4), d = 1.445 Å, 64.47 deg, I = 14
- (3 1 4), d = 1.438 Å, 64.82 deg, I = 13
- (0 2 8), d = 1.707 Å, 53.69 deg, I = 11
- (2 0 8), d = 1.702 Å, 53.88 deg, I = 11
- (2 2 8), d = 1.387 Å, 67.53 deg, I = 11

# 2
# Ba3AlZn2
Calculated X-ray diffraction stick pattern, Cu Kα (λ = 1.5418 Å). Input: DFT lattice parameters and positions (GGA-PBE).
Kinematic intensities with the Lorentz-polarization factor, no thermal factor.

a = 8.6830 Å, b = 11.2228 Å, c = 8.8952 Å
α = 90.00°, β = 107.16°, γ = 90.00°
Space group P2_1/c (No. 14)
Symmetry-distinct sites (fractional):
Ba1 0.1278 0.1626 0.3249 x4
Ba2 0.2771 0.6164 0.6233 x4
Ba3 0.2831 0.0461 0.7400 x4
Al1 0.4646 0.6209 0.0260 x4
Zn1 0.1282 0.6327 0.9285 x4
Zn2 0.4478 0.1838 0.1294 x4

The 10 most intense peaks (2θ from 10° to 90°), most intense first:
- (1 3 1), d = 3.040 Å, 29.38 deg, I = 100
- (1 1 -3), d = 2.864 Å, 31.24 deg, I = 59
- (0 4 0), d = 2.804 Å, 31.92 deg, I = 50
- (3 2 -1), d = 2.571 Å, 34.89 deg, I = 44
- (1 2 -3), d = 2.619 Å, 34.24 deg, I = 42
- (0 4 1), d = 2.664 Å, 33.64 deg, I = 41
- (2 0 2), d = 2.609 Å, 34.38 deg, I = 39
- (2 1 -2), d = 3.372 Å, 26.43 deg, I = 39
- (2 2 -1), d = 3.391 Å, 26.28 deg, I = 38
- (1 1 2), d = 3.252 Å, 27.43 deg, I = 32

# 3
# Ca2MgSn3
Calculated X-ray diffraction stick pattern, Cu Kα (λ = 1.5418 Å). Input: DFT lattice parameters and positions (GGA-PBE).
Kinematic intensities with the Lorentz-polarization factor, no thermal factor.

a = 5.8573 Å, b = 7.1069 Å, c = 8.4567 Å
α = 90.00°, β = 109.94°, γ = 90.00°
Space group P2_1/m (No. 11)
Symmetry-distinct sites (fractional):
Ca1 0.1585 0.0001 0.3206 x4
Mg1 0.2671 0.2500 0.0001 x2
Sn1 0.2263 0.7500 0.0003 x2
Sn2 0.3373 0.2500 0.6758 x2
Sn3 0.3418 0.7500 0.6757 x2

The 10 most intense peaks (2θ from 10° to 90°), most intense first:
- (1 2 -2), d = 2.636 Å, 34.01 deg, I = 100
- (0 0 3), d = 2.650 Å, 33.83 deg, I = 49
- (0 2 0), d = 3.553 Å, 25.06 deg, I = 43
- (1 2 0), d = 2.984 Å, 29.94 deg, I = 30
- (2 2 -2), d = 2.174 Å, 41.54 deg, I = 27
- (1 1 0), d = 4.348 Å, 20.43 deg, I = 25
- (0 2 3), d = 2.124 Å, 42.56 deg, I = 23
- (2 0 -2), d = 2.743 Å, 32.64 deg, I = 21
- (2 0 0), d = 2.753 Å, 32.52 deg, I = 19
- (2 0 1), d = 2.364 Å, 38.06 deg, I = 19

# 4
# Na2SrCa6
Calculated X-ray diffraction stick pattern, Cu Kα (λ = 1.5418 Å). Input: DFT lattice parameters and positions (GGA-PBE).
Kinematic intensities with the Lorentz-polarization factor, no thermal factor.

a = 14.3640 Å, b = 4.1781 Å, c = 13.2655 Å
α = 90.00°, β = 108.16°, γ = 90.00°
Space group C2/m (No. 12)
Symmetry-distinct sites (fractional):
Na1 0.1611 0.0000 0.2292 x4
Sr1 0.0000 0.5000 0.0000 x2
Ca1 0.0083 0.5000 0.3394 x4
Ca2 0.1729 0.0000 0.5672 x4
Ca3 0.1807 0.0000 0.8766 x4

The 10 most intense peaks (2θ from 10° to 90°), most intense first:
- (3 1 0), d = 3.077 Å, 29.02 deg, I = 100
- (1 1 -3), d = 3.037 Å, 29.41 deg, I = 96
- (2 0 3), d = 3.165 Å, 28.20 deg, I = 54
- (4 0 -3), d = 3.177 Å, 28.08 deg, I = 51
- (2 2 3), d = 1.744 Å, 52.45 deg, I = 35
- (6 0 0), d = 2.274 Å, 39.63 deg, I = 22
- (7 1 -3), d = 1.823 Å, 50.04 deg, I = 20
- (5 1 3), d = 1.818 Å, 50.17 deg, I = 19
- (1 1 6), d = 1.793 Å, 50.92 deg, I = 18
- (2 0 -6), d = 2.211 Å, 40.81 deg, I = 17

# 5
# Ho7IrS5
Calculated X-ray diffraction stick pattern, Cu Kα (λ = 1.5418 Å). Input: DFT lattice parameters and positions (GGA-PBE).
Kinematic intensities with the Lorentz-polarization factor, no thermal factor.

a = 3.8333 Å, b = 23.4025 Å, c = 6.6951 Å
α = 90.00°, β = 106.59°, γ = 90.00°
Space group P2_1 (No. 4)
Symmetry-distinct sites (fractional):
Ho1 0.0392 0.0000 0.0760 x2
Ho2 0.1316 0.7160 0.2635 x2
Ho3 0.1456 0.2880 0.2928 x2
Ho4 0.2979 0.9302 0.5939 x2
Ho5 0.3105 0.0719 0.6195 x2
Ho6 0.3983 0.6338 0.7977 x2
Ho7 0.4164 0.3599 0.8350 x2
Ir1 0.3058 0.5081 0.6130 x2
S1 0.0446 0.6107 0.0910 x2
S2 0.0563 0.3924 0.1153 x2
S3 0.2181 0.8224 0.4347 x2
S4 0.2314 0.1804 0.4623 x2
S5 0.4910 0.7492 0.9815 x2

The 10 most intense peaks (2θ from 10° to 90°), most intense first:
- (0 7 1), d = 2.965 Å, 30.14 deg, I = 100
- (1 2 -2), d = 2.773 Å, 32.28 deg, I = 99
- (1 3 1), d = 2.681 Å, 33.42 deg, I = 57
- (2 7 0), d = 1.610 Å, 57.23 deg, I = 44
- (1 4 0), d = 3.111 Å, 28.70 deg, I = 38
- (1 9 -1), d = 2.122 Å, 42.60 deg, I = 34
- (2 0 -1), d = 1.917 Å, 47.43 deg, I = 31
- (1 5 -1), d = 2.889 Å, 30.95 deg, I = 30
- (0 5 3), d = 1.945 Å, 46.69 deg, I = 24
- (1 5 2), d = 1.941 Å, 46.81 deg, I = 22

# 6
# Ca5Pt3
Calculated X-ray diffraction stick pattern, Cu Kα (λ = 1.5418 Å). Input: DFT lattice parameters and positions (GGA-PBE).
Kinematic intensities with the Lorentz-polarization factor, no thermal factor.

a = 11.0701 Å, b = 11.0701 Å, c = 6.7432 Å
α = 90.00°, β = 90.00°, γ = 90.00°
Space group P4/ncc (No. 130, origin choice 2)
Symmetry-distinct sites (fractional):
Ca1 0.0437 0.1626 0.1180 x16
Ca2 0.2500 0.7500 0.0000 x4
Pt1 0.0969 0.5969 0.7500 x8
Pt2 0.2500 0.2500 0.3700 x4

The 10 most intense peaks (2θ from 10° to 90°), most intense first:
- (2 1 1), d = 3.991 Å, 22.28 deg, I = 100
- (2 1 2), d = 2.789 Å, 32.09 deg, I = 50
- (3 1 0), d = 3.501 Å, 25.44 deg, I = 49
- (4 1 1), d = 2.493 Å, 36.03 deg, I = 48
- (4 2 0), d = 2.475 Å, 36.29 deg, I = 33
- (3 1 2), d = 2.428 Å, 37.02 deg, I = 30
- (5 2 1), d = 1.966 Å, 46.17 deg, I = 28
- (2 1 3), d = 2.047 Å, 44.26 deg, I = 28
- (3 3 4), d = 1.416 Å, 65.99 deg, I = 17
- (2 2 0), d = 3.914 Å, 22.72 deg, I = 16

# 7
# Rb2Pu2TaSe6
Calculated X-ray diffraction stick pattern, Cu Kα (λ = 1.5418 Å). Input: DFT lattice parameters and positions (GGA-PBE).
Kinematic intensities with the Lorentz-polarization factor, no thermal factor.

a = 7.0718 Å, b = 12.1125 Å, c = 8.5559 Å
α = 90.00°, β = 106.71°, γ = 90.00°
Space group C2/m (No. 12)
Symmetry-distinct sites (fractional):
Rb1 0.0000 0.1723 0.0000 x4
Pu1 0.0000 0.3329 0.5000 x4
Ta1 0.0000 0.0000 0.5000 x2
Se1 0.2212 0.1529 0.6900 x8
Se2 0.2404 0.0000 0.3115 x4

The 10 most intense peaks (2θ from 10° to 90°), most intense first:
- (0 0 1), d = 8.195 Å, 10.80 deg, I = 100
- (1 3 1), d = 3.037 Å, 29.41 deg, I = 74
- (2 0 -2), d = 3.081 Å, 28.98 deg, I = 37
- (1 3 -3), d = 2.318 Å, 38.85 deg, I = 26
- (3 3 -1), d = 2.036 Å, 44.51 deg, I = 25
- (1 3 2), d = 2.474 Å, 36.32 deg, I = 19
- (2 0 2), d = 2.305 Å, 39.08 deg, I = 13
- (1 3 0), d = 3.468 Å, 25.69 deg, I = 12
- (2 6 -2), d = 1.689 Å, 54.33 deg, I = 12
- (0 6 0), d = 2.019 Å, 44.90 deg, I = 12

# 8
# CsIn4Ag4
Calculated X-ray diffraction stick pattern, Cu Kα (λ = 1.5418 Å). Input: DFT lattice parameters and positions (GGA-PBE).
Kinematic intensities with the Lorentz-polarization factor, no thermal factor.

a = 7.0272 Å, b = 7.0272 Å, c = 9.7152 Å
α = 90.00°, β = 90.00°, γ = 90.00°
Space group P4_2/nmc (No. 137, origin choice 2)
Symmetry-distinct sites (fractional):
Cs1 0.2500 0.7500 0.2500 x2
In1 0.0098 0.2500 0.1360 x8
Ag1 0.0511 0.2500 0.4306 x8

The 10 most intense peaks (2θ from 10° to 90°), most intense first:
- (2 1 1), d = 2.990 Å, 29.88 deg, I = 100
- (1 0 3), d = 2.941 Å, 30.39 deg, I = 43
- (2 2 0), d = 2.484 Å, 36.15 deg, I = 41
- (2 0 3), d = 2.381 Å, 37.78 deg, I = 37
- (3 0 3), d = 1.898 Å, 47.93 deg, I = 34
- (2 2 4), d = 1.737 Å, 52.70 deg, I = 23
- (4 0 0), d = 1.757 Å, 52.06 deg, I = 22
- (1 1 2), d = 3.474 Å, 25.65 deg, I = 20
- (1 0 4), d = 2.296 Å, 39.25 deg, I = 17
- (2 1 3), d = 2.255 Å, 39.98 deg, I = 16

# 9
# ZnFeCl
Calculated X-ray diffraction stick pattern, Cu Kα (λ = 1.5418 Å). Input: DFT lattice parameters and positions (GGA-PBE).
Kinematic intensities with the Lorentz-polarization factor, no thermal factor.

a = 3.1389 Å, b = 3.1389 Å, c = 5.9989 Å
α = 90.00°, β = 90.00°, γ = 120.00°
Space group P3m1 (No. 156)
Symmetry-distinct sites (fractional):
Zn1 0.0000 0.0000 0.0000 x1
Fe1 0.3333 0.6667 0.6996 x1
Cl1 0.6667 0.3333 0.4372 x1

The 10 most intense peaks (2θ from 10° to 90°), most intense first:
- (1 0 1), d = 2.476 Å, 36.28 deg, I = 100
- (0 1 2), d = 2.014 Å, 45.01 deg, I = 52
- (0 0 1), d = 5.999 Å, 14.77 deg, I = 23
- (1 1 0), d = 1.569 Å, 58.84 deg, I = 22
- (0 1 3), d = 1.611 Å, 57.19 deg, I = 12
- (0 2 1), d = 1.326 Å, 71.12 deg, I = 12
- (1 1 3), d = 1.235 Å, 77.28 deg, I = 11
- (0 0 3), d = 2.000 Å, 45.35 deg, I = 10
- (2 0 2), d = 1.238 Å, 77.03 deg, I = 9
- (1 0 5), d = 1.098 Å, 89.23 deg, I = 7